1.
For VINCl3, DFT lattice parameters and positions (PBE) gives the calculated PXRD pattern in this record (Cu Kα, 1.54184 Å).
Intensities are scaled so that the largest is 100.

Structural model:
```
data_VINCl3
_chemical_formula_sum 'V2 I2 N2 Cl6'
_space_group_name_H-M_alt 'P -1'
_space_group_IT_number 2
_cell_length_a 6.0844
_cell_length_b 7.7058
_cell_length_c 8.5878
_cell_angle_alpha 63.58
_cell_angle_beta 85.98
_cell_angle_gamma 72.22
loop_
_space_group_symop_operation_xyz
'x,y,z'
'-x,-y,-z'
loop_
_atom_site_label
_atom_site_fract_x
_atom_site_fract_y
_atom_site_fract_z
V1 0.2487 0.0208 0.3559
I1 0.2135 0.6812 0.1855
N1 0.2089 0.8973 0.2513
Cl1 0.1446 0.7862 0.6315
Cl2 0.2744 0.3088 0.1255
Cl3 0.3689 0.1622 0.5676
```

The 10 most intense peaks (15° ≤ 2θ ≤ 90°), most intense first:
d (Å)  2θ/deg  intensity  index
4.795  18.5  100.0  1 0 -1
3.252  27.4  73.7  1 2 2
4.452  19.9  58.1  1 0 1
4.156  21.4  55.5  0 1 -1
2.738  32.7  50.1  1 1 -2
2.888  31.0  44.1  2 0 0
3.087  28.9  29.6  1 0 2
2.623  34.2  21.5  -1 2 2
2.677  33.5  21.4  0 2 3
3.668  24.3  19.5  0 2 1

=====

2.
For K3Na2SnAs3, DFT lattice parameters and positions (PBE) gives the calculated PXRD pattern in this record (Cu Kα, 1.54184 Å).
Intensities are scaled so that the largest is 100.

Structural model:
```
data_K3Na2SnAs3
_chemical_formula_sum 'K24 Na16 Sn8 As24'
_space_group_name_H-M_alt 'C m c e'
_space_group_IT_number 64
_space_group_name_Hall '-C 2ac 2'
_cell_length_a 20.6672
_cell_length_b 6.8656
_cell_length_c 15.6149
_cell_angle_alpha 90.00
_cell_angle_beta 90.00
_cell_angle_gamma 90.00
loop_
_atom_site_label
_atom_site_fract_x
_atom_site_fract_y
_atom_site_fract_z
K1 0.0000 0.2403 0.1777
K2 0.1667 0.2328 0.8246
Na1 0.0814 0.0000 0.0000
Na2 0.2452 0.0000 0.0000
Sn1 0.0886 0.0000 0.5000
As1 0.0000 0.2061 0.4051
As2 0.1589 0.2226 0.6057
```

The 10 most intense peaks (15° ≤ 2θ ≤ 90°), most intense first:
d (Å)  2θ/deg  intensity  index
2.580  34.8  100.0  6 0 4
2.431  37.0  68.6  6 2 0
3.044  29.3  61.1  3 1 4
3.147  28.4  37.8  0 2 2
4.128  21.5  30.5  3 1 2
3.448  25.8  20.9  6 0 0
2.075  43.6  17.7  6 0 6
2.295  39.3  16.6  3 1 6
1.811  50.4  15.6  3 1 8
1.432  65.1  13.9  12 2 4

=====

3.
For PdSe2O5, DFT lattice parameters and positions (PBE) gives the calculated PXRD pattern in this record (Cu Kα, 1.54184 Å).
Intensities are scaled so that the largest is 100.

Structural model:
```
data_PdSe2O5
_chemical_formula_sum 'Pd4 Se8 O20'
_space_group_name_H-M_alt 'C 1 2/c 1'
_space_group_IT_number 15
_cell_length_a 12.6864
_cell_length_b 5.8984
_cell_length_c 7.4892
_cell_angle_alpha 90.00
_cell_angle_beta 106.91
_cell_angle_gamma 90.00
loop_
_space_group_symop_operation_xyz
'x,y,z'
'-x,-y,-z'
'-x,y,-z+1/2'
'x,-y,z+1/2'
'x+1/2,y+1/2,z'
'-x+1/2,-y+1/2,-z'
'-x+1/2,y+1/2,-z+1/2'
'x+1/2,-y+1/2,z+1/2'
loop_
_atom_site_label
_atom_site_fract_x
_atom_site_fract_y
_atom_site_fract_z
Pd1 0.0000 0.0000 0.0000
Se1 0.1342 0.3879 0.3154
O1 0.0000 0.4691 0.7500
O2 0.1251 0.2174 0.1273
O3 0.1248 0.2202 0.4974
```

The 10 most intense peaks (15° ≤ 2θ ≤ 90°), most intense first:
d (Å)  2θ/deg  intensity  index
3.161  28.2  100.0  1 1 -2
3.338  26.7  65.3  3 1 0
4.549  19.5  51.8  1 1 -1
1.673  54.9  18.9  2 2 3
2.742  32.7  18.7  4 0 -2
2.754  32.5  18.2  2 0 2
2.780  32.2  17.9  3 1 1
2.727  32.8  16.6  0 2 1
2.808  31.9  14.2  1 1 2
2.653  33.8  13.8  2 2 0

=====

4.
For GaSb2N3, DFT lattice parameters and positions (PBE) gives the calculated PXRD pattern in this record (Cu Kα, 1.54184 Å).
Intensities are scaled so that the largest is 100.

Structural model:
```
data_GaSb2N3
_chemical_formula_sum 'Ga8 Sb16 N24'
_space_group_name_H-M_alt 'C 1 2/c 1'
_space_group_IT_number 15
_cell_length_a 5.6816
_cell_length_b 10.1259
_cell_length_c 14.5407
_cell_angle_alpha 90.00
_cell_angle_beta 96.96
_cell_angle_gamma 90.00
loop_
_space_group_symop_operation_xyz
'x,y,z'
'-x,-y,-z'
'-x,y,-z+1/2'
'x,-y,z+1/2'
'x+1/2,y+1/2,z'
'-x+1/2,-y+1/2,-z'
'-x+1/2,y+1/2,-z+1/2'
'x+1/2,-y+1/2,z+1/2'
loop_
_atom_site_label
_atom_site_fract_x
_atom_site_fract_y
_atom_site_fract_z
Ga1 0.1941 0.0483 0.1723
Sb1 0.1800 0.3124 0.6421
Sb2 0.2172 0.3675 0.0718
N1 0.0000 0.1557 0.2500
N2 0.0000 0.4069 0.7500
N3 0.0616 0.1191 0.6366
N4 0.2370 0.3393 0.9296
```

The 10 most intense peaks (15° ≤ 2θ ≤ 90°), most intense first:
d (Å)  2θ/deg  intensity  index
2.746  32.6  100.0  1 3 -2
2.632  34.1  71.4  1 3 2
2.820  31.7  62.9  2 0 0
3.608  24.7  61.9  0 0 4
2.526  35.5  54.1  2 0 2
3.640  24.5  52.0  1 1 -3
2.508  35.8  50.0  0 2 5
2.806  31.9  45.1  1 3 1
3.070  29.1  37.2  1 1 -4
4.822  18.4  34.9  1 1 -1

=====

5.
For CsYZnTe3, DFT lattice parameters and positions (PBE) gives the calculated PXRD pattern in this record (Cu Kα, 1.54184 Å).
Intensities are scaled so that the largest is 100.

Structural model:
```
data_CsYZnTe3
_chemical_formula_sum 'Cs4 Y4 Zn4 Te12'
_space_group_name_H-M_alt 'C m c m'
_space_group_IT_number 63
_space_group_name_Hall '-C 2c 2'
_cell_length_a 4.4598
_cell_length_b 17.1545
_cell_length_c 11.7941
_cell_angle_alpha 90.00
_cell_angle_beta 90.00
_cell_angle_gamma 90.00
loop_
_atom_site_label
_atom_site_fract_x
_atom_site_fract_y
_atom_site_fract_z
Cs1 0.0000 0.2450 0.2500
Y1 0.0000 0.5000 0.0000
Zn1 0.0000 0.0398 0.7500
Te1 0.0000 0.1209 0.5574
Te2 0.0000 0.4422 0.7500
```

The 10 most intense peaks (15° ≤ 2θ ≤ 90°), most intense first:
d (Å)  2θ/deg  intensity  index
3.370  26.4  100.0  1 3 1
1.959  46.3  37.8  1 3 5
3.574  24.9  34.8  0 2 3
2.469  36.4  33.0  1 5 2
3.468  25.7  32.5  0 4 2
3.517  25.3  32.3  1 3 0
1.885  48.3  31.1  1 7 3
2.949  30.3  28.1  0 0 4
2.230  40.5  27.9  2 0 0
2.906  30.8  26.9  1 1 3